Calculated X-ray powder pattern
Compound: NaNpNi2O5
Radiation: CuKα
Structure: DFT lattice parameters and positions (PBE+U)
Peak positions follow from Bragg's law for the DFT cell and can differ from measured ones.

Top 10 peaks for 10° ≤ 2θ ≤ 80°, in order of rising 2θ:
two_theta, I/Imax
18.08, 93.4
21.32, 39.8
31.12, 100.0
31.29, 21.8
38.89, 23.6
43.20, 20.6
47.01, 27.5
49.76, 17.0
55.59, 19.8
64.88, 14.6

Crystal structure
Cell lengths 6.0283, 6.0283, 6.0283 Å; angles 134.81, 123.39, 75.22 degrees
Fractional coordinates of all 9 atoms:
Na (0.0000, 0.0000, 0.0000)
Np (0.5000, 0.5000, 0.0000)
Ni (0.2849, 0.7849, 0.5000)
Ni (0.7151, 0.2151, 0.5000)
O (0.1025, 0.3489, 0.7537)
O (0.4048, 0.6511, 0.7537)
O (0.5000, 0.0000, 0.5000)
O (0.5952, 0.3489, 0.2463)
O (0.8975, 0.6511, 0.2463)

---

Calculated X-ray powder pattern
Compound: NaNp2NiO8
Radiation: CuKα
Structure: DFT lattice parameters and positions (PBE+U)
Peak positions follow from Bragg's law for the DFT cell and can differ from measured ones.

Top 10 peaks for 10° ≤ 2θ ≤ 80°, in order of rising 2θ:
two_theta, I/Imax
17.03, 73.1
27.14, 100.0
29.61, 42.0
29.94, 14.0
34.37, 32.4
42.61, 14.8
46.36, 23.9
51.05, 37.3
55.97, 19.0
57.89, 13.2

Crystal structure
Cell lengths 6.6882, 6.6882, 6.6882 Å; angles 126.38, 126.38, 79.26 degrees
Fractional coordinates of all 12 atoms:
Na (0.0000, 0.0000, 0.0000)
Np (0.5000, 0.5000, 0.0000)
Np (0.7500, 0.2500, 0.5000)
Ni (0.2500, 0.7500, 0.5000)
O (0.3615, 0.1307, 0.7692)
O (0.3615, 0.5923, 0.2308)
O (0.4080, 0.1101, 0.2979)
O (0.4077, 0.6385, 0.7692)
O (0.8122, 0.1101, 0.7021)
O (0.8693, 0.6385, 0.2308)
O (0.8899, 0.1878, 0.2979)
O (0.8899, 0.5920, 0.7021)